# LiFeF3
Theoretical PXRD pattern, copper Kα. Input: the GGA+U geometry in the Materials Project.
Neutral-atom scattering factors, no anomalous dispersion.

Atomic structure:
Cell lengths 5.3303, 7.8961, 5.3534 Å; angles 90.00, 90.00, 90.00 degrees
Fractional positions:
1 Li 0.0248 0.2500 0.0165
2 Li 0.4752 0.7500 0.5165
3 Li 0.5248 0.2500 0.4835
4 Li 0.9752 0.7500 0.9835
5 Fe 0.0000 0.0000 0.5000
6 Fe 0.0000 0.5000 0.5000
7 Fe 0.5000 0.0000 0.0000
8 Fe 0.5000 0.5000 0.0000
9 F 0.1053 0.7500 0.6336
10 F 0.1700 0.5746 0.1632
11 F 0.1700 0.9254 0.1632
12 F 0.3300 0.0746 0.6632
13 F 0.3300 0.4254 0.6632
14 F 0.3947 0.2500 0.1336
15 F 0.6053 0.7500 0.8664
16 F 0.6700 0.5746 0.3368
17 F 0.6700 0.9254 0.3368
18 F 0.8300 0.0746 0.8368
19 F 0.8300 0.4254 0.8368
20 F 0.8947 0.2500 0.3664

Main lines, by angle (2θ from 5° to 70°):
22.52°, I 63, (0 2 0)
23.55°, I 100, (1 0 1)
32.81°, I 64, (1 2 1)
37.60°, I 17, (1 0 2)
38.10°, I 21, (0 3 1)
40.73°, I 16, (0 2 2)
48.18°, I 24, (2 0 2)
52.29°, I 30, (1 4 1)
53.81°, I 22, (2 2 2)
58.11°, I 24, (2 4 0)
59.43°, I 33, (1 2 3)
59.62°, I 28, (3 2 1)